This entry pairs a crystal structure of LiV6O11F with its theoretical powder diffraction line list. Radiation: CuKα. Structure: a cell relaxed with GGA+U.
Kinematic intensities with the Lorentz-polarization factor, no thermal factor.

Crystal structure
```
LiV6O11F
1.0
3.9810 -3.2035 0.0000
3.9810 3.2035 0.0000
-0.3065 0.0000 8.7222
Li V O F
1 6 11 1
Direct
0.0000 0.0000 0.0000 Li
0.1321 0.1321 0.7670 V
0.2863 0.2863 0.1153 V
0.2909 0.2909 0.4525 V
0.6900 0.6900 0.9512 V
0.6922 0.6922 0.2864 V
0.7270 0.7270 0.6047 V
0.0043 0.3713 0.9468 O
0.0208 0.3966 0.6133 O
0.0412 0.4122 0.2835 O
0.3713 0.0043 0.9468 O
0.3966 0.0208 0.6133 O
0.4122 0.0412 0.2835 O
0.5058 0.5058 0.1107 O
0.5180 0.5180 0.4549 O
0.8382 0.8382 0.1206 O
0.8680 0.8680 0.4636 O
0.9038 0.9038 0.7840 O
0.5411 0.5411 0.7638 F
```

Largest 10 diffraction maxima, sorted by position, 2θ = 15–90°:
Position (°2θ), Rel. int.
22.35, 100
27.85, 89
35.39, 31
36.09, 28
37.68, 16
39.01, 19
47.76, 14
54.29, 22
54.80, 20
57.54, 14